This entry pairs a crystal structure of Ac3PrAu2 with its theoretical powder X-ray diffraction pattern. Radiation: Cu Ka. Structure: a cell relaxed with PBE.
Kinematic intensities with the Lorentz-polarization factor, no thermal factor.

Most intense lines, 2θ = 5–70°, in order of rising 2θ:
2θ/deg, I_rel, h k l
26.7, 29, 0 3 1
29.1, 81, 0 1 3
29.9, 100, 1 1 2
33.3, 31, 1 2 2
34.7, 64, 1 3 1
34.9, 27, 0 4 1
44.3, 25, 2 0 0
47.0, 19, 1 2 4
51.5, 20, 0 6 0
53.9, 17, 2 1 3

a = 4.0899 Å, b = 10.6640 Å, c = 9.6140 Å
α = 90.00°, β = 90.00°, γ = 90.00°
Space group Pmc2_1 (No. 26)
One atom of each set of equivalent atoms:
Ac  0.0000  0.0745  0.0000 [2 per cell]
Ac  0.0000  0.2835  0.3360 [2 per cell]
Ac  0.5000  0.2261  0.6745 [2 per cell]
Pr  0.5000  0.4338  0.0062 [2 per cell]
Au  0.0000  0.4423  0.7220 [2 per cell]
Au  0.5000  0.0620  0.2793 [2 per cell]